Structure and computed powder X-ray diffraction pattern of NaCoTe2O6 (a DFT-relaxed cell (PBE+U, Alexandria); Cu Kα X-rays).
Intensities are scaled so that the largest is 100.

Crystal structure
```
NaCoTe2O6
1.0
5.5565 0.0000 0.0000
2.6690 4.8778 0.0000
2.6906 1.5393 5.7857
Na Co Te O
1 1 2 6
direct
0.0000 0.0000 0.0000 Na
0.5958 0.5862 0.2285 Co
0.2650 0.2607 0.2043 Te
0.8085 0.7940 0.5885 Te
0.1824 0.5900 0.4293 O
0.4202 0.9902 0.0259 O
0.5667 0.4148 0.0391 O
0.6037 0.7642 0.4284 O
0.8073 0.1625 0.4114 O
0.9981 0.5601 0.0328 O
```

Peak list (8 most intense, 10° ≤ 2θ ≤ 90°, in order of rising 2θ)
2θ/deg  I_rel
15.31  79
20.91  51
21.05  100
27.30  54
27.51  49
27.98  49
31.59  80
32.22  88